(1)
Starting from a GGA-PBE-relaxed structure, the powder X-ray diffraction pattern of Si3Bi4O12 was simulated for Cu Kα (weighted mean of Kα1 and Kα2).
Lines closer than 0.1° are merged.

The 12 most intense peaks (10° ≤ 2θ ≤ 90°), low angle first:
| 2theta | intensity | (hkl) |
| --- | --- | --- |
| 20.9 | 100 | 2 1 1 |
| 27.0 | 100 | 3 1 0 |
| 32.1 | 97 | 3 2 1 |
| 42.5 | 55 | 4 2 2 |
| 44.3 | 57 | 5 1 0 |
| 51.1 | 19 | 5 3 0 |
| 54.2 | 40 | 5 3 2 |
| 57.3 | 23 | 5 4 1 |
| 60.2 | 17 | 6 3 1 |
| 63.1 | 22 | 5 4 3 |
| 77.7 | 21 | 6 6 0 |
| 79.0 | 17 | 7 4 3 |

Atomic structure:
```
data_Si3Bi4O12
_chemical_formula_sum 'Si12 Bi16 O48'
_cell_length_a 10.425
_cell_length_b 10.425
_cell_length_c 10.425
_cell_angle_alpha 90.00
_cell_angle_beta 90.00
_cell_angle_gamma 90.00
_space_group_name_H-M_alt 'I -4 3 d'
_space_group_IT_number 220
_space_group_name_Hall 'I -4bd 2c 3'
loop_
_atom_site_label
_atom_site_type_symbol
_atom_site_fract_x
_atom_site_fract_y
_atom_site_fract_z
Si1 Si 0.000 0.250 0.375
Bi1 Bi 0.084 0.084 0.084
O1 O 0.040 0.119 0.691
```



(2)
Starting from a GGA-PBE-relaxed structure, the powder X-ray diffraction pattern of SmH10S3N3O11 was simulated for Cu Kα (weighted mean of Kα1 and Kα2).
Lines closer than 0.1° are merged.

The 12 most intense peaks (10° ≤ 2θ ≤ 90°), low angle first:
| 2theta | intensity | (hkl) |
| --- | --- | --- |
| 10.8 | 100 | 0 0 1 |
| 11.1 | 32 | 0 1 -1 |
| 14.7 | 72 | 1 -1 0 |
| 16.1 | 25 | 1 1 -1 |
| 16.5 | 19 | 1 1 0 |
| 20.9 | 28 | -1 1 1 |
| 22.3 | 35 | 2 0 0 |
| 23.8 | 30 | 1 0 -2 |
| 24.4 | 46 | 1 -2 2 |
| 25.4 | 63 | 1 2 -2 |
| 25.9 | 21 | 1 2 0 |
| 29.6 | 33 | 2 -2 0 |

Atomic structure:
```
data_SmH10S3N3O11
_chemical_formula_sum 'Sm2 H20 S6 N6 O22'
_cell_length_a 8.040
_cell_length_b 9.251
_cell_length_c 9.360
_cell_angle_alpha 118.78
_cell_angle_beta 90.37
_cell_angle_gamma 95.67
_space_group_name_H-M_alt 'P -1'
_space_group_IT_number 2
loop_
_space_group_symop_operation_xyz
'x,y,z'
'-x,-y,-z'
loop_
_atom_site_label
_atom_site_type_symbol
_atom_site_fract_x
_atom_site_fract_y
_atom_site_fract_z
Sm1 Sm 0.221 0.213 0.378
H1 H 0.121 0.314 0.960
H2 H 0.157 0.617 0.252
H3 H 0.225 0.758 0.446
H4 H 0.261 0.139 0.025
H5 H 0.278 0.965 0.022
H6 H 0.318 0.320 0.899
H7 H 0.331 0.871 0.307
H8 H 0.355 0.774 0.779
H9 H 0.368 0.673 0.885
H10 H 0.498 0.990 0.328
S1 S 0.118 0.617 0.756
S2 S 0.151 0.098 0.714
S3 S 0.411 0.579 0.322
N1 N 0.216 0.245 0.902
N2 N 0.259 0.693 0.328
N3 N 0.293 0.741 0.856
O1 O 0.016 0.965 0.265
O2 O 0.022 0.727 0.723
O3 O 0.042 0.565 0.868
O4 O 0.144 0.172 0.606
O5 O 0.161 0.477 0.603
O6 O 0.274 0.978 0.665
O7 O 0.284 0.087 0.094
O8 O 0.335 0.422 0.309
O9 O 0.375 0.978 0.312
O10 O 0.493 0.313 0.520
O11 O 0.496 0.449 0.821
```



(3)
Starting from a GGA-PBE-relaxed structure, the powder X-ray diffraction pattern of Ag4PdF8 was simulated for Cu Kα (weighted mean of Kα1 and Kα2).
Lines closer than 0.1° are merged.

The 12 most intense peaks (10° ≤ 2θ ≤ 90°), low angle first:
| 2theta | intensity | (hkl) |
| --- | --- | --- |
| 15.6 | 38 | 1 1 0 |
| 16.1 | 23 | 1 1 -1 |
| 22.0 | 95 | 0 2 1 |
| 23.0 | 51 | 2 0 -1 |
| 29.5 | 32 | 0 4 0 |
| 31.4 | 100 | 2 2 0 |
| 32.6 | 100 | 2 2 -2 |
| 33.0 | 24 | 0 0 2 |
| 44.8 | 62 | 0 4 2 |
| 53.5 | 25 | 2 6 0 |
| 56.5 | 25 | 4 4 -2 |
| 57.2 | 30 | 4 0 0 |

Atomic structure:
```
data_Ag4PdF8
_chemical_formula_sum 'Ag8 Pd2 F16'
_cell_length_a 7.738
_cell_length_b 12.125
_cell_length_c 6.522
_cell_angle_alpha 90.00
_cell_angle_beta 123.59
_cell_angle_gamma 90.00
_space_group_name_H-M_alt 'C 1 2/m 1'
_space_group_IT_number 12
loop_
_space_group_symop_operation_xyz
'x,y,z'
'-x,-y,-z'
'-x,y,-z'
'x,-y,z'
'x+1/2,y+1/2,z'
'-x+1/2,-y+1/2,-z'
'-x+1/2,y+1/2,-z'
'x+1/2,-y+1/2,z'
loop_
_atom_site_label
_atom_site_type_symbol
_atom_site_fract_x
_atom_site_fract_y
_atom_site_fract_z
Ag1 Ag 0.000 0.000 0.000
Ag2 Ag 0.000 0.500 0.000
Ag3 Ag 0.250 0.250 0.500
Pd1 Pd 0.000 0.000 0.500
F1 F 0.199 0.123 0.240
F2 F 0.216 0.112 0.715
```



(4)
Starting from a GGA-PBE-relaxed structure, the powder X-ray diffraction pattern of Ce2SbRh2 was simulated for Cu Kα (weighted mean of Kα1 and Kα2).
Lines closer than 0.1° are merged.

The 12 most intense peaks (10° ≤ 2θ ≤ 90°), low angle first:
| 2theta | intensity | (hkl) |
| --- | --- | --- |
| 33.3 | 34 | 2 0 1 |
| 33.7 | 12 | 2 2 0 |
| 35.5 | 100 | 2 1 1 |
| 37.8 | 42 | 3 1 0 |
| 43.3 | 6 | 3 2 0 |
| 47.4 | 16 | 0 0 2 |
| 49.9 | 7 | 4 1 0 |
| 55.7 | 16 | 4 1 1 |
| 62.1 | 19 | 3 1 2 |
| 68.0 | 10 | 5 1 1 |
| 71.8 | 10 | 5 2 1 |
| 80.3 | 9 | 2 1 3 |

Atomic structure:
```
data_Ce2SbRh2
_chemical_formula_sum 'Ce4 Sb2 Rh4'
_cell_length_a 7.532
_cell_length_b 7.532
_cell_length_c 3.839
_cell_angle_alpha 90.00
_cell_angle_beta 90.00
_cell_angle_gamma 90.00
_space_group_name_H-M_alt 'P 4/m b m'
_space_group_IT_number 127
_space_group_name_Hall '-P 4 2ab'
loop_
_atom_site_label
_atom_site_type_symbol
_atom_site_fract_x
_atom_site_fract_y
_atom_site_fract_z
Ce1 Ce 0.177 0.323 0.000
Sb1 Sb 0.000 0.000 0.500
Rh1 Rh 0.133 0.633 0.500
```



(5)
Starting from a GGA-PBE-relaxed structure, the powder X-ray diffraction pattern of ScTi2Ga6 was simulated for Cu Kα (weighted mean of Kα1 and Kα2).
Lines closer than 0.1° are merged.

The 12 most intense peaks (10° ≤ 2θ ≤ 90°), low angle first:
| 2theta | intensity | (hkl) |
| --- | --- | --- |
| 23.4 | 29 | 1 0 1 |
| 27.8 | 24 | 0 2 0 |
| 29.9 | 37 | 1 1 2 |
| 36.6 | 100 | 1 2 1 |
| 39.1 | 26 | 1 1 4 |
| 42.5 | 72 | 1 0 5 |
| 43.2 | 17 | 0 0 6 |
| 45.4 | 45 | 2 0 0 |
| 47.7 | 42 | 0 3 3 |
| 50.5 | 27 | 1 3 2 |
| 51.5 | 36 | 1 2 5 |
| 68.0 | 28 | 2 3 3 |

Atomic structure:
```
data_ScTi2Ga6
_chemical_formula_sum 'Sc2 Ti4 Ga12'
_cell_length_a 3.996
_cell_length_b 6.421
_cell_length_c 12.565
_cell_angle_alpha 90.00
_cell_angle_beta 90.00
_cell_angle_gamma 90.00
_space_group_name_H-M_alt 'I m m m'
_space_group_IT_number 71
_space_group_name_Hall '-I 2 2'
loop_
_atom_site_label
_atom_site_type_symbol
_atom_site_fract_x
_atom_site_fract_y
_atom_site_fract_z
Sc1 Sc 0.000 0.000 0.000
Ti1 Ti 0.000 0.500 0.115
Ga1 Ga 0.000 0.194 0.500
Ga2 Ga 0.000 0.296 0.309
```



(6)
Starting from a GGA-PBE-relaxed structure, the powder X-ray diffraction pattern of K3BSe3 was simulated for Cu Kα (weighted mean of Kα1 and Kα2).
Lines closer than 0.1° are merged.

The 12 most intense peaks (10° ≤ 2θ ≤ 90°), low angle first:
| 2theta | intensity | (hkl) |
| --- | --- | --- |
| 13.0 | 47 | 0 2 0 |
| 13.7 | 49 | 0 1 2 |
| 20.0 | 53 | 1 1 0 |
| 22.4 | 69 | 1 2 -1 |
| 23.2 | 69 | 1 1 -3 |
| 25.1 | 40 | 0 1 4 |
| 26.3 | 48 | 0 4 0 |
| 30.6 | 62 | 1 1 3 |
| 32.1 | 100 | 1 4 -1 |
| 33.8 | 52 | 1 2 -5 |
| 36.0 | 52 | 1 3 3 |
| 36.8 | 76 | 2 0 -2 |

Atomic structure:
```
data_K3BSe3
_chemical_formula_sum 'K12 B4 Se12'
_cell_length_a 4.893
_cell_length_b 13.571
_cell_length_c 15.301
_cell_angle_alpha 90.00
_cell_angle_beta 106.39
_cell_angle_gamma 90.00
_space_group_name_H-M_alt 'P 1 21/c 1'
_space_group_IT_number 14
loop_
_space_group_symop_operation_xyz
'x,y,z'
'-x,-y,-z'
'-x,y+1/2,-z+1/2'
'x,-y+1/2,z+1/2'
loop_
_atom_site_label
_atom_site_type_symbol
_atom_site_fract_x
_atom_site_fract_y
_atom_site_fract_z
K1 K 0.058 0.177 0.260
K2 K 0.194 0.067 0.920
K3 K 0.328 0.137 0.564
B1 B 0.310 0.742 0.588
Se1 Se 0.202 0.679 0.465
Se2 Se 0.315 0.613 0.097
Se3 Se 0.409 0.658 0.699
```



(7)
Starting from a GGA-PBE-relaxed structure, the powder X-ray diffraction pattern of BaSr4Pd4 was simulated for Cu Kα (weighted mean of Kα1 and Kα2).
Lines closer than 0.1° are merged.

The 12 most intense peaks (10° ≤ 2θ ≤ 90°), low angle first:
| 2theta | intensity | (hkl) |
| --- | --- | --- |
| 16.9 | 22 | 1 0 1 |
| 19.2 | 10 | 1 1 1 |
| 24.9 | 16 | 1 2 1 |
| 28.8 | 100 | 1 3 0 |
| 30.2 | 38 | 1 0 2 |
| 35.4 | 24 | 1 2 2 |
| 36.1 | 20 | 2 3 1 |
| 40.0 | 28 | 3 0 2 |
| 40.6 | 17 | 4 1 1 |
| 41.2 | 38 | 4 2 0 |
| 44.3 | 27 | 3 2 2 |
| 65.6 | 12 | 3 6 1 |

Atomic structure:
```
data_BaSr4Pd4
_chemical_formula_sum 'Ba2 Sr8 Pd8'
_cell_length_a 9.800
_cell_length_b 9.800
_cell_length_c 6.215
_cell_angle_alpha 90.00
_cell_angle_beta 90.00
_cell_angle_gamma 90.00
_space_group_name_H-M_alt 'P 42/n'
_space_group_IT_number 86
loop_
_space_group_symop_operation_xyz
'x,y,z'
'-x,-y,-z'
'-y,x+1/2,z+1/2'
'y,-x+1/2,-z+1/2'
'-x+1/2,-y+1/2,z'
'x+1/2,y+1/2,-z'
'y+1/2,-x,z+1/2'
'-y+1/2,x,-z+1/2'
loop_
_atom_site_label
_atom_site_type_symbol
_atom_site_fract_x
_atom_site_fract_y
_atom_site_fract_z
Ba1 Ba 0.250 0.250 0.250
Sr1 Sr 0.073 0.658 0.152
Pd1 Pd 0.032 0.610 0.639
```



(8)
Starting from a GGA-PBE-relaxed structure, the powder X-ray diffraction pattern of La6AgN3 was simulated for Cu Kα (weighted mean of Kα1 and Kα2).
Lines closer than 0.1° are merged.

The 12 most intense peaks (10° ≤ 2θ ≤ 90°), low angle first:
| 2theta | intensity | (hkl) |
| --- | --- | --- |
| 12.8 | 25 | 1 0 1 |
| 25.8 | 51 | 2 0 2 |
| 28.5 | 53 | 2 1 -1 |
| 28.8 | 53 | 2 0 -4 |
| 29.0 | 29 | 2 1 0 |
| 29.9 | 21 | 2 1 -2 |
| 30.5 | 50 | 4 0 -2 |
| 31.1 | 35 | 1 1 2 |
| 33.2 | 100 | 0 1 3 |
| 33.8 | 34 | 3 1 -2 |
| 39.1 | 23 | 3 0 3 |
| 49.1 | 29 | 0 2 0 |

Atomic structure:
```
data_La6AgN3
_chemical_formula_sum 'La12 Ag2 N6'
_cell_length_a 11.818
_cell_length_b 3.713
_cell_length_c 12.603
_cell_angle_alpha 90.00
_cell_angle_beta 110.99
_cell_angle_gamma 90.00
_space_group_name_H-M_alt 'P 1 21/m 1'
_space_group_IT_number 11
loop_
_space_group_symop_operation_xyz
'x,y,z'
'-x,-y,-z'
'-x,y+1/2,-z'
'x,-y+1/2,z'
loop_
_atom_site_label
_atom_site_type_symbol
_atom_site_fract_x
_atom_site_fract_y
_atom_site_fract_z
La1 La 0.047 0.250 0.287
La2 La 0.136 0.250 0.580
La3 La 0.162 0.750 0.118
La4 La 0.312 0.750 0.421
La5 La 0.367 0.750 0.919
La6 La 0.447 0.250 0.229
Ag1 Ag 0.139 0.250 0.907
N1 N 0.093 0.750 0.443
N2 N 0.258 0.250 0.273
N3 N 0.499 0.750 0.111
```